(1)
# LiAc2TlIr
Simulated powder XRD pattern, Cu Kα. Input: a DFT-relaxed cell (PBE, Alexandria).

Structural model:
```
data_LiAc2TlIr
_chemical_formula_sum 'Li2 Ac4 Tl2 Ir2'
_symmetry_space_group_name_H-M 'P 1'
_symmetry_Int_Tables_number 1
_symmetry_space_group_name_Hall 'P 1'
_cell_length_a 8.429
_cell_length_b 4.336
_cell_length_c 8.678
_cell_angle_alpha 90.00
_cell_angle_beta 110.02
_cell_angle_gamma 90.00
loop_
_atom_site_label
_atom_site_fract_x
_atom_site_fract_y
_atom_site_fract_z
Li1 0.070 0.250 0.159
Li2 0.930 0.750 0.841
Ac1 0.226 0.750 0.523
Ac2 0.391 0.750 0.159
Ac3 0.609 0.250 0.841
Ac4 0.774 0.250 0.477
Tl1 0.167 0.250 0.827
Tl2 0.833 0.750 0.173
Ir1 0.388 0.250 0.395
Ir2 0.612 0.750 0.605
```

The 10 most intense peaks (2θ = 15–90°), by angle:
2θ (°)	Rel. int.
21.33	270
28.23	607
29.36	533
29.74	376
30.09	1000
32.92	621
35.13	376
38.17	463
41.66	399
51.08	267

(2)
# TlBiPd2
Simulated powder XRD pattern, Cu Kα. Input: a DFT-relaxed cell (PBE, Alexandria).

Structural model:
```
data_TlBiPd2
_chemical_formula_sum 'Tl4 Bi4 Pd8'
_symmetry_space_group_name_H-M 'P 1'
_symmetry_Int_Tables_number 1
_symmetry_space_group_name_Hall 'P 1'
_cell_length_a 8.687
_cell_length_b 7.292
_cell_length_c 5.718
_cell_angle_alpha 90.00
_cell_angle_beta 90.00
_cell_angle_gamma 90.00
loop_
_atom_site_label
_atom_site_fract_x
_atom_site_fract_y
_atom_site_fract_z
Tl1 0.124 0.092 0.250
Tl2 0.124 0.408 0.750
Tl3 0.876 0.592 0.250
Tl4 0.876 0.908 0.750
Bi1 0.373 0.586 0.250
Bi2 0.373 0.914 0.750
Bi3 0.627 0.086 0.250
Bi4 0.627 0.414 0.750
Pd1 0.126 0.750 0.000
Pd2 0.126 0.750 0.500
Pd3 0.378 0.250 0.000
Pd4 0.378 0.250 0.500
Pd5 0.622 0.750 0.000
Pd6 0.622 0.750 0.500
Pd7 0.874 0.250 0.000
Pd8 0.874 0.250 0.500
```

The 10 most intense peaks (2θ = 15–90°), by angle:
2θ (°)	Rel. int.
28.56	1000
29.05	539
39.72	661
40.08	268
41.58	302
42.62	559
51.52	227
54.02	176
59.13	171
81.13	176

(3)
# Cs2SrCdCl6
Simulated powder XRD pattern, Cu Kα. Input: a DFT-relaxed cell (PBE, Alexandria).

Structural model:
```
data_Cs2SrCdCl6
_chemical_formula_sum 'Cs2 Sr1 Cd1 Cl6'
_symmetry_space_group_name_H-M 'P 1'
_symmetry_Int_Tables_number 1
_symmetry_space_group_name_Hall 'P 1'
_cell_length_a 7.804
_cell_length_b 7.804
_cell_length_c 7.804
_cell_angle_alpha 60.00
_cell_angle_beta 60.00
_cell_angle_gamma 60.00
loop_
_atom_site_label
_atom_site_fract_x
_atom_site_fract_y
_atom_site_fract_z
Cs1 0.250 0.250 0.250
Cs2 0.750 0.750 0.750
Sr1 0.000 0.000 0.000
Cd1 0.500 0.500 0.500
Cl1 0.259 0.259 0.741
Cl2 0.259 0.741 0.259
Cl3 0.259 0.741 0.741
Cl4 0.741 0.259 0.259
Cl5 0.741 0.259 0.741
Cl6 0.741 0.741 0.259
```

The 10 most intense peaks (2θ = 15–90°), by angle:
2θ (°)	Rel. int.
22.79	1000
28.01	203
32.45	619
40.02	462
46.55	422
52.44	217
57.89	142
63.03	248
77.33	179
86.38	137

(4)
# Nb6Pd2Se15
Simulated powder XRD pattern, Cu Kα. Input: a DFT-relaxed cell (PBE, Alexandria).

Structural model:
```
data_Nb6Pd2Se15
_chemical_formula_sum 'Nb12 Pd4 Se30'
_symmetry_space_group_name_H-M 'P 1'
_symmetry_Int_Tables_number 1
_symmetry_space_group_name_Hall 'P 1'
_cell_length_a 8.463
_cell_length_b 8.469
_cell_length_c 15.723
_cell_angle_alpha 85.45
_cell_angle_beta 77.85
_cell_angle_gamma 74.59
loop_
_atom_site_label
_atom_site_fract_x
_atom_site_fract_y
_atom_site_fract_z
Nb1 0.043 0.493 0.319
Nb2 0.067 0.357 0.878
Nb3 0.271 0.310 0.119
Nb4 0.282 0.181 0.684
Nb5 0.386 0.150 0.320
Nb6 0.397 0.027 0.879
Nb7 0.603 0.973 0.121
Nb8 0.614 0.850 0.680
Nb9 0.718 0.819 0.316
Nb10 0.729 0.690 0.881
Nb11 0.933 0.643 0.122
Nb12 0.957 0.507 0.681
Pd1 0.165 0.333 0.503
Pd2 0.500 0.000 0.500
Pd3 0.500 0.500 0.000
Pd4 0.835 0.667 0.497
Se1 0.003 0.212 0.629
Se2 0.045 0.647 0.801
Se3 0.070 0.201 0.396
Se4 0.120 0.061 0.823
Se5 0.149 0.153 0.009
Se6 0.187 0.523 0.990
Se7 0.210 0.606 0.180
Se8 0.268 0.469 0.607
Se9 0.288 0.021 0.199
Se10 0.325 0.448 0.374
Se11 0.337 0.884 0.627
Se12 0.382 0.315 0.799
Se13 0.403 0.864 0.395
Se14 0.453 0.731 0.821
Se15 0.473 0.816 0.011
Se16 0.527 0.184 0.989
Se17 0.547 0.269 0.179
Se18 0.597 0.136 0.605
Se19 0.618 0.685 0.201
Se20 0.663 0.116 0.373
Se21 0.675 0.552 0.626
Se22 0.712 0.979 0.801
Se23 0.732 0.531 0.393
Se24 0.790 0.394 0.820
Se25 0.813 0.477 0.010
Se26 0.851 0.847 0.991
Se27 0.880 0.939 0.177
Se28 0.930 0.799 0.604
Se29 0.955 0.353 0.199
Se30 0.997 0.788 0.371
```

The 10 most intense peaks (2θ = 15–90°), by angle:
2θ (°)	Rel. int.
30.06	276
31.27	371
34.35	354
36.05	445
37.04	789
37.83	1000
43.72	422
45.19	433
53.59	343
56.90	284